# PmZrAgIr
Computed powder diffraction line list, CuKα. Input: a structure optimized by DFT (GGA-PBE).
Peak positions follow from Bragg's law for the DFT cell and can differ from measured ones.

Top 10 peaks for 10 to 80 degrees two-theta, in order of falling intensity:
2θ = 36.44°, rel. 100
2θ = 65.58°, rel. 35
2θ = 52.49°, rel. 17
2θ = 77.42°, rel. 11
2θ = 22.08°, rel. 7
2θ = 43.02°, rel. 4
2θ = 57.62°, rel. 2
2θ = 25.55°, rel. 2
2θ = 70.12°, rel. 1
2θ = 59.26°, rel. 1

Atomic structure:
abc: 4.931 4.931 4.931
angles: 60.00 60.00 60.00
Positions (direct):
Pm (0.000, 0.000, 0.000)
Zr (0.500, 0.500, 0.500)
Ag (0.750, 0.750, 0.750)
Ir (0.250, 0.250, 0.250)